Calculated powder diffractogram of Ca2YFeO5 for Cu Kα, from a PBE+U-relaxed structure.

Cell and atoms:
```
Ca2YFeO5
1.0
-7.923 2.856 2.781
7.923 -2.856 2.781
7.923 2.856 -2.781
Ca Y Fe O
4 2 2 10
direct
0.027 0.099 0.126 Ca
0.027 0.401 0.428 Ca
0.973 0.599 0.572 Ca
0.973 0.901 0.874 Ca
0.424 0.717 0.206 Y
0.511 0.217 0.794 Y
0.524 0.024 0.500 Fe
0.524 0.524 0.000 Fe
0.032 0.294 0.777 O
0.032 0.755 0.237 O
0.158 0.822 0.837 O
0.487 0.201 0.545 O
0.487 0.442 0.786 O
0.518 0.255 0.223 O
0.518 0.794 0.763 O
0.657 0.701 0.214 O
0.657 0.942 0.455 O
0.985 0.322 0.163 O
```

Largest 6 diffraction maxima, sorted by position, 2θ from 10° to 80°:
2θ/deg, d [Å], I_rel
22.3, 3.985, 22
31.3, 2.856, 37
31.9, 2.809, 100
32.2, 2.781, 40
45.5, 1.992, 36
57.2, 1.612, 29